1.
Pr3BeC2N6: computed powder diffractogram (Cu Kα (weighted mean of Kα1 and Kα2)), based on DFT lattice parameters and positions (PBE).
No peak broadening, texture or thermal motion is included.

Crystal structure
```
data_Pr3BeC2N6
_chemical_formula_sum 'Pr3 Be1 C2 N6'
_symmetry_space_group_name_H-M 'P 1'
_symmetry_Int_Tables_number 1
_cell_length_a 5.2416
_cell_length_b 5.2416
_cell_length_c 6.4919
_cell_angle_alpha 90.00
_cell_angle_beta 90.00
_cell_angle_gamma 120.00
loop_
_symmetry_equiv_pos_as_xyz
'x,y,z'
loop_
_atom_site_label
_atom_site_fract_x
_atom_site_fract_y
_atom_site_fract_z
Pr1 0.0000 0.0000 0.0000
Pr2 0.3333 0.6667 0.6687
Pr3 0.6667 0.3333 0.3313
Be1 0.0000 0.0000 0.5000
C1 0.3333 0.6667 0.2870
C2 0.6667 0.3333 0.7130
N1 0.1818 0.3636 0.2963
N2 0.1818 0.8182 0.2963
N3 0.3636 0.1818 0.7037
N4 0.6364 0.8182 0.2963
N5 0.8182 0.1818 0.7037
N6 0.8182 0.6364 0.7037
```

Top 12 peaks for 10 to 80 degrees two-theta, by angle:
d (Å)  intensity
3.720  100.0
2.640  50.9
2.621  53.1
2.164  13.4
2.143  37.1
1.860  25.6
1.669  25.6
1.659  22.3
1.528  8.7
1.517  18.0
1.513  9.7
1.240  9.5

---

2.
BeC2O6: computed powder diffractogram (Cu Kα (weighted mean of Kα1 and Kα2)), based on DFT lattice parameters and positions (PBE).
No peak broadening, texture or thermal motion is included.

Crystal structure
```
data_BeC2O6
_chemical_formula_sum 'Be1 C2 O6'
_symmetry_space_group_name_H-M 'P 1'
_symmetry_Int_Tables_number 1
_cell_length_a 4.7669
_cell_length_b 4.7669
_cell_length_c 5.4985
_cell_angle_alpha 90.16
_cell_angle_beta 90.16
_cell_angle_gamma 59.99
loop_
_symmetry_equiv_pos_as_xyz
'x,y,z'
loop_
_atom_site_label
_atom_site_fract_x
_atom_site_fract_y
_atom_site_fract_z
Be1 0.0000 0.0000 0.0000
C1 0.3316 0.3316 0.8073
C2 0.6656 0.6656 0.1928
O1 0.1769 0.1769 0.8020
O2 0.1770 0.6408 0.8017
O3 0.3562 0.8203 0.1982
O4 0.6408 0.1770 0.8017
O5 0.8203 0.3562 0.1982
O6 0.8202 0.8202 0.1984
```

Top 12 peaks for 10 to 80 degrees two-theta, by angle:
d (Å)  intensity
5.498  56.2
3.301  100.0
2.749  29.8
2.289  11.9
2.064  11.2
1.933  19.9
1.931  5.9
1.833  7.3
1.653  4.8
1.649  9.1
1.501  3.7
1.372  4.3

---

3.
BeZnCSO: computed powder diffractogram (Cu Kα (weighted mean of Kα1 and Kα2)), based on DFT lattice parameters and positions (PBE).
No peak broadening, texture or thermal motion is included.

Crystal structure
```
data_BeZnCSO
_chemical_formula_sum 'Be1 Zn1 C1 S1 O1'
_symmetry_space_group_name_H-M 'P 1'
_symmetry_Int_Tables_number 1
_cell_length_a 3.3667
_cell_length_b 3.3667
_cell_length_c 6.9093
_cell_angle_alpha 90.00
_cell_angle_beta 90.00
_cell_angle_gamma 120.00
loop_
_symmetry_equiv_pos_as_xyz
'x,y,z'
loop_
_atom_site_label
_atom_site_fract_x
_atom_site_fract_y
_atom_site_fract_z
Be1 0.0000 0.0000 0.0000
Zn1 0.6667 0.3333 0.5505
C1 0.0000 0.0000 0.4121
S1 0.6667 0.3333 0.8890
O1 0.0000 0.0000 0.2301
```

Top 12 peaks for 10 to 80 degrees two-theta, by angle:
d (Å)  intensity
6.909  62.1
3.455  20.8
2.916  100.0
2.686  95.7
2.303  22.9
2.228  49.0
1.807  56.7
1.683  37.5
1.486  12.7
1.426  11.6
1.359  22.4
1.232  15.2